# 1
This entry pairs a crystal structure of Na2PSe4 with its computed powder XRD pattern. Radiation: Cu Kα (weighted mean of Kα1 and Kα2). Structure: a structure optimized by DFT (PBE).
Neutral-atom scattering factors, no anomalous dispersion.

Cell and atoms:
```
data_Na2PSe4
_cell_length_a 11.5658
_cell_length_b 13.6103
_cell_length_c 12.9405
_cell_angle_alpha 90.00
_cell_angle_beta 90.00
_cell_angle_gamma 90.00
_symmetry_space_group_name_H-M 'C c c e'
_symmetry_Int_Tables_number 68
loop_
_symmetry_equiv_pos_as_xyz
'x,y,z'
'-x,-y,-z'
'-x+1/2,-y,z'
'x+1/2,y,-z'
'x+1/2,-y,-z+1/2'
'-x+1/2,y,z+1/2'
'-x,y,-z+1/2'
'x,-y,z+1/2'
'x+1/2,y+1/2,z'
'-x+1/2,-y+1/2,-z'
'-x,-y+1/2,z'
'x,y+1/2,-z'
'x,-y+1/2,-z+1/2'
'-x,y+1/2,z+1/2'
'-x+1/2,y+1/2,-z+1/2'
'x+1/2,-y+1/2,z+1/2'
loop_
_atom_site_label
_atom_site_fract_x
_atom_site_fract_y
_atom_site_fract_z
Na1 0.0000 0.1240 0.2500
Na2 0.1866 0.2500 0.7500
P1 0.2500 0.0000 0.1931
Se1 0.1200 0.0485 0.8121
Se2 0.1881 0.1259 0.1010
```

Top 10 peaks for 10 to 90 degrees two-theta, most intense first:
| 2θ (°) | Rel. int. | hkl |
| --- | --- | --- |
| 21.30 | 100 | 2 2 1 |
| 13.01 | 96 | 0 2 0 |
| 13.69 | 90 | 0 0 2 |
| 27.72 | 70 | 3 1 2 |
| 25.18 | 69 | 1 3 2 |
| 15.32 | 59 | 2 0 0 |
| 31.82 | 52 | 3 1 3 |
| 37.05 | 51 | 2 4 3 |
| 29.41 | 49 | 1 1 4 |
| 34.55 | 47 | 1 5 1 |

# 2
This entry pairs a crystal structure of InTeSe with its computed powder XRD pattern. Radiation: Cu Kα (weighted mean of Kα1 and Kα2). Structure: a structure optimized by DFT (PBE).
Neutral-atom scattering factors, no anomalous dispersion.

Cell and atoms:
```
data_InTeSe
_cell_length_a 4.1971
_cell_length_b 4.1971
_cell_length_c 5.4528
_cell_angle_alpha 90.00
_cell_angle_beta 90.00
_cell_angle_gamma 120.00
_symmetry_space_group_name_H-M 'P 3 m 1'
_symmetry_Int_Tables_number 156
_symmetry_space_group_name_Hall 'P 3 -2"'
loop_
_atom_site_label
_atom_site_fract_x
_atom_site_fract_y
_atom_site_fract_z
In1 0.0000 0.0000 0.0000
Te1 0.3333 0.6667 0.6797
Se1 0.6667 0.3333 0.2719
```

Top 10 peaks for 10 to 90 degrees two-theta, most intense first:
| 2θ (°) | Rel. int. | hkl |
| --- | --- | --- |
| 29.53 | 100 | 1 0 1 |
| 41.40 | 38 | 0 1 2 |
| 43.11 | 35 | 1 1 0 |
| 53.12 | 19 | 0 2 1 |
| 70.72 | 16 | 2 1 1 |
| 68.27 | 13 | 1 1 3 |
| 61.30 | 12 | 2 0 2 |
| 77.86 | 12 | 1 2 2 |
| 79.03 | 6 | 3 0 0 |
| 50.19 | 6 | 0 0 3 |

# 3
This entry pairs a crystal structure of TbPm8Sc4 with its computed powder XRD pattern. Radiation: Cu Kα (weighted mean of Kα1 and Kα2). Structure: a structure optimized by DFT (PBE).
Neutral-atom scattering factors, no anomalous dispersion.

Cell and atoms:
```
data_TbPm8Sc4
_cell_length_a 7.0109
_cell_length_b 7.0109
_cell_length_c 28.8473
_cell_angle_alpha 90.00
_cell_angle_beta 90.00
_cell_angle_gamma 120.00
_symmetry_space_group_name_H-M 'R -3 m'
_symmetry_Int_Tables_number 166
_symmetry_space_group_name_Hall '-R 3 2"'
loop_
_atom_site_label
_atom_site_fract_x
_atom_site_fract_y
_atom_site_fract_z
Tb1 0.0000 0.0000 0.0000
Pm1 0.0000 0.0000 0.2884
Pm2 0.0223 0.5112 0.2586
Sc1 0.0000 0.0000 0.5000
Sc2 0.0000 0.5000 0.5000
```

Top 10 peaks for 10 to 90 degrees two-theta, most intense first:
| 2θ (°) | Rel. int. | hkl |
| --- | --- | --- |
| 31.99 | 100 | 0 2 4 |
| 30.08 | 39 | 2 0 2 |
| 38.77 | 34 | 2 0 8 |
| 52.19 | 29 | 2 2 0 |
| 34.42 | 20 | 1 0 10 |
| 18.45 | 20 | 0 0 6 |
| 45.76 | 19 | 2 0 11 |
| 31.59 | 17 | 1 1 6 |
| 26.13 | 16 | 1 0 7 |
| 27.07 | 16 | 1 1 3 |

# 4
This entry pairs a crystal structure of Ho2B4Ir3 with its computed powder XRD pattern. Radiation: Cu Kα (weighted mean of Kα1 and Kα2). Structure: a structure optimized by DFT (PBE).
Neutral-atom scattering factors, no anomalous dispersion.

Cell and atoms:
```
data_Ho2B4Ir3
_cell_length_a 5.5365
_cell_length_b 9.2488
_cell_length_c 9.7643
_cell_angle_alpha 90.00
_cell_angle_beta 90.00
_cell_angle_gamma 90.00
_symmetry_space_group_name_H-M 'F m m m'
_symmetry_Int_Tables_number 69
_symmetry_space_group_name_Hall '-F 2 2'
loop_
_atom_site_label
_atom_site_fract_x
_atom_site_fract_y
_atom_site_fract_z
Ho1 0.0000 0.0000 0.1537
B1 0.0000 0.2143 0.3328
Ir1 0.0000 0.0000 0.5000
Ir2 0.2500 0.2500 0.0000
```

Top 10 peaks for 10 to 90 degrees two-theta, most intense first:
| 2θ (°) | Rel. int. | hkl |
| --- | --- | --- |
| 37.88 | 100 | 2 2 0 |
| 33.37 | 93 | 1 1 3 |
| 18.17 | 77 | 0 0 2 |
| 38.95 | 52 | 0 4 0 |
| 43.62 | 49 | 1 3 3 |
| 42.32 | 43 | 2 2 2 |
| 70.09 | 31 | 2 2 6 |
| 26.55 | 28 | 0 2 2 |
| 58.34 | 21 | 3 1 3 |
| 70.79 | 21 | 0 4 6 |

# 5
This entry pairs a crystal structure of La2PmSn2 with its computed powder XRD pattern. Radiation: Cu Kα (weighted mean of Kα1 and Kα2). Structure: a structure optimized by DFT (PBE).
Neutral-atom scattering factors, no anomalous dispersion.

Cell and atoms:
```
data_La2PmSn2
_cell_length_a 5.1756
_cell_length_b 19.0572
_cell_length_c 6.7299
_cell_angle_alpha 90.00
_cell_angle_beta 90.00
_cell_angle_gamma 90.00
_symmetry_space_group_name_H-M 'C m c 21'
_symmetry_Int_Tables_number 36
_symmetry_space_group_name_Hall 'C 2c -2'
loop_
_atom_site_label
_atom_site_fract_x
_atom_site_fract_y
_atom_site_fract_z
La1 0.0000 0.0003 0.0000
La2 0.0000 0.1941 0.2509
Pm1 0.0000 0.3990 0.2498
Sn1 0.0000 0.1875 0.7511
Sn2 0.0000 0.4241 0.7502
```

Top 10 peaks for 10 to 90 degrees two-theta, most intense first:
| 2θ (°) | Rel. int. | hkl |
| --- | --- | --- |
| 29.10 | 100 | 1 5 0 |
| 34.80 | 37 | 1 3 2 |
| 34.66 | 36 | 2 0 0 |
| 32.07 | 31 | 1 1 2 |
| 39.75 | 31 | 1 5 2 |
| 26.49 | 25 | 0 0 2 |
| 63.00 | 23 | 1 5 4 |
| 32.58 | 15 | 0 4 2 |
| 58.75 | 14 | 3 5 0 |
| 28.12 | 14 | 0 2 2 |

# 6
This entry pairs a crystal structure of NaCu2MoS4 with its computed powder XRD pattern. Radiation: Cu Kα (weighted mean of Kα1 and Kα2). Structure: a structure optimized by DFT (PBE).
Neutral-atom scattering factors, no anomalous dispersion.

Cell and atoms:
```
data_NaCu2MoS4
_cell_length_a 5.7553
_cell_length_b 5.7553
_cell_length_c 10.0509
_cell_angle_alpha 90.00
_cell_angle_beta 90.00
_cell_angle_gamma 90.00
_symmetry_space_group_name_H-M 'I -4 2 m'
_symmetry_Int_Tables_number 121
_symmetry_space_group_name_Hall 'I -4 2'
loop_
_atom_site_label
_atom_site_fract_x
_atom_site_fract_y
_atom_site_fract_z
Na1 0.0000 0.0000 0.0000
Cu1 0.0000 0.5000 0.2500
Mo1 0.0000 0.0000 0.5000
S1 0.2171 0.2171 0.6400
```

Top 10 peaks for 10 to 90 degrees two-theta, most intense first:
| 2θ (°) | Rel. int. | hkl |
| --- | --- | --- |
| 28.22 | 100 | 1 1 2 |
| 48.07 | 36 | 2 0 4 |
| 17.76 | 31 | 1 0 1 |
| 53.55 | 29 | 3 1 2 |
| 44.53 | 22 | 2 2 0 |
| 84.60 | 11 | 4 2 4 |
| 59.69 | 10 | 1 1 6 |
| 31.08 | 9 | 2 0 0 |
| 77.43 | 8 | 3 1 6 |
| 44.38 | 6 | 2 1 3 |

# 7
This entry pairs a crystal structure of Na5Sr4Au2 with its computed powder XRD pattern. Radiation: Cu Kα (weighted mean of Kα1 and Kα2). Structure: a structure optimized by DFT (PBE).
Neutral-atom scattering factors, no anomalous dispersion.

Cell and atoms:
```
data_Na5Sr4Au2
_cell_length_a 9.0586
_cell_length_b 4.1892
_cell_length_c 11.1594
_cell_angle_alpha 90.00
_cell_angle_beta 93.81
_cell_angle_gamma 90.00
_symmetry_space_group_name_H-M 'P 1 2/m 1'
_symmetry_Int_Tables_number 10
_symmetry_space_group_name_Hall '-P 2y'
loop_
_atom_site_label
_atom_site_fract_x
_atom_site_fract_y
_atom_site_fract_z
Na1 0.0000 0.0000 0.0000
Na2 0.0505 0.0000 0.3261
Na3 0.3129 0.0000 0.8464
Sr1 0.2995 0.5000 0.5504
Sr2 0.3417 0.5000 0.1622
Au1 0.4389 0.0000 0.3641
```

Top 10 peaks for 10 to 90 degrees two-theta, most intense first:
| 2θ (°) | Rel. int. | hkl |
| --- | --- | --- |
| 12.19 | 100 | 1 0 -1 |
| 32.21 | 91 | 0 1 3 |
| 29.06 | 50 | 2 1 0 |
| 28.81 | 43 | 1 1 2 |
| 32.65 | 39 | 2 1 -2 |
| 34.25 | 38 | 1 1 3 |
| 30.17 | 32 | 3 0 -1 |
| 28.05 | 28 | 1 1 -2 |
| 43.19 | 26 | 0 2 0 |
| 20.71 | 25 | 2 0 -1 |

# 8
This entry pairs a crystal structure of Ti13Sb3 with its computed powder XRD pattern. Radiation: Cu Kα (weighted mean of Kα1 and Kα2). Structure: a structure optimized by DFT (PBE).
Neutral-atom scattering factors, no anomalous dispersion.

Cell and atoms:
```
data_Ti13Sb3
_cell_length_a 4.7452
_cell_length_b 5.7099
_cell_length_c 10.4367
_cell_angle_alpha 90.00
_cell_angle_beta 90.00
_cell_angle_gamma 90.00
_symmetry_space_group_name_H-M 'P m m 2'
_symmetry_Int_Tables_number 25
_symmetry_space_group_name_Hall 'P 2 -2'
loop_
_atom_site_label
_atom_site_fract_x
_atom_site_fract_y
_atom_site_fract_z
Ti1 0.0000 0.0000 0.0000
Ti2 0.0000 0.0000 0.4878
Ti3 0.0000 0.2377 0.7423
Ti4 0.0000 0.2552 0.2569
Ti5 0.0000 0.5000 0.5001
Ti6 0.5000 0.0000 0.6409
Ti7 0.5000 0.2383 0.8957
Ti8 0.5000 0.2563 0.3960
Ti9 0.5000 0.5000 0.1439
Sb1 0.0000 0.5000 0.9874
Sb2 0.5000 0.0000 0.1529
Sb3 0.5000 0.5000 0.6549
```

Top 10 peaks for 10 to 90 degrees two-theta, most intense first:
| 2θ (°) | Rel. int. | hkl |
| --- | --- | --- |
| 40.74 | 100 | 1 2 2 |
| 39.41 | 70 | 1 0 4 |
| 37.92 | 47 | 2 0 0 |
| 35.85 | 35 | 0 2 2 |
| 75.53 | 23 | 2 2 6 |
| 53.18 | 21 | 2 2 2 |
| 25.86 | 20 | 1 1 1 |
| 70.40 | 18 | 3 2 2 |
| 62.53 | 17 | 0 2 6 |
| 79.09 | 16 | 1 4 4 |